Computed powder diffractogram
Compound: Ac2Ni4B
Radiation: copper Kα
Structure: DFT lattice parameters and positions (GGA-PBE)
Peak positions follow from Bragg's law for the DFT cell and can differ from measured ones.

Peak list (10 most intense, 10° ≤ 2θ ≤ 90°, low angle first)
h k l	d/Å	intensity
0 2 0	3.790	28
2 0 0	3.765	27
0 2 2	2.932	32
2 0 2	2.921	32
0 0 4	2.313	100
0 2 4	1.973	20
0 4 0	1.895	11
4 0 0	1.883	11
4 4 0	1.336	20
0 0 8	1.157	11

Structure:
a = 7.5309 Å, b = 7.5791 Å, c = 9.2552 Å
α = 90.00°, β = 90.00°, γ = 90.00°
Space group Fmmm (No. 69)
Inequivalent atoms, fractional coordinates:
Ac  0.2500  0.2500  0.2500 (multiplicity 8)
Ni  0.0000  0.2381  0.0000 (multiplicity 8)
Ni  0.2358  0.0000  0.0000 (multiplicity 8)
B  0.0000  0.0000  0.5000 (multiplicity 4)

---

Computed powder diffractogram
Compound: Rb2PuCl4
Radiation: copper Kα
Structure: DFT lattice parameters and positions (GGA-PBE)
Peak positions follow from Bragg's law for the DFT cell and can differ from measured ones.

Peak list (10 most intense, 10° ≤ 2θ ≤ 90°, low angle first)
h k l	d/Å	intensity
0 0 1	7.782	62
2 0 0	6.295	55
2 0 -2	4.421	69
2 0 1	4.016	51
1 1 -1	3.812	70
4 0 -1	3.596	38
3 1 -1	3.175	40
3 1 0	2.978	100
0 0 3	2.595	77
3 1 -3	2.417	38

Structure:
a = 14.4565 Å, b = 4.2249 Å, c = 8.9349 Å
α = 90.00°, β = 119.43°, γ = 90.00°
Space group C2/m (No. 12)
Inequivalent atoms, fractional coordinates:
Rb  0.1484  0.0000  0.1848 (multiplicity 4)
Pu  0.0000  0.5000  0.5000 (multiplicity 2)
Cl  0.0487  0.5000  0.8470 (multiplicity 4)
Cl  0.1512  0.0000  0.5717 (multiplicity 4)

---

Computed powder diffractogram
Compound: Nd4DyTe7
Radiation: copper Kα
Structure: DFT lattice parameters and positions (GGA-PBE)
Peak positions follow from Bragg's law for the DFT cell and can differ from measured ones.

Peak list (10 most intense, 10° ≤ 2θ ≤ 90°, low angle first)
h k l	d/Å	intensity
2 0 2	4.286	44
2 0 3	3.344	59
3 1 -1	3.238	83
3 1 0	3.200	48
3 1 -2	3.086	100
3 1 1	2.992	71
3 1 -3	2.813	50
1 1 4	2.474	52
6 0 -4	2.192	46
0 2 0	2.173	65

Structure:
a = 14.6555 Å, b = 4.3468 Å, c = 13.4324 Å
α = 90.00°, β = 104.54°, γ = 90.00°
Space group Cm (No. 8)
Inequivalent atoms, fractional coordinates:
Nd  0.0000  0.0000  0.0000 (multiplicity 2)
Nd  0.0862  0.5000  0.3831 (multiplicity 2)
Nd  0.1860  0.0000  0.7648 (multiplicity 2)
Nd  0.3856  0.5000  0.5714 (multiplicity 2)
Dy  0.2709  0.5000  0.1497 (multiplicity 2)
Te  0.0477  0.5000  0.6225 (multiplicity 2)
Te  0.1301  0.5000  0.9279 (multiplicity 2)
Te  0.1503  0.0000  0.2238 (multiplicity 2)
Te  0.2234  0.0000  0.5251 (multiplicity 2)
Te  0.3490  0.5000  0.7901 (multiplicity 2)
Te  0.3819  0.0000  0.0766 (multiplicity 2)
Te  0.4215  0.5000  0.3522 (multiplicity 2)

---

Computed powder diffractogram
Compound: YP3Ru5
Radiation: copper Kα
Structure: DFT lattice parameters and positions (GGA-PBE)
Peak positions follow from Bragg's law for the DFT cell and can differ from measured ones.

Peak list (10 most intense, 10° ≤ 2θ ≤ 90°, low angle first)
h k l	d/Å	intensity
0 2 1	5.426	28
1 3 0	2.801	35
1 3 1	2.727	40
1 1 3	2.711	100
1 3 2	2.537	34
1 1 4	2.326	69
1 5 0	2.061	47
2 0 0	1.936	54
0 2 6	1.898	39
2 2 6	1.356	32

Structure:
a = 3.8711 Å, b = 12.1713 Å, c = 11.9875 Å
α = 90.00°, β = 90.00°, γ = 90.00°
Space group Cmcm (No. 63)
Inequivalent atoms, fractional coordinates:
Y  0.0000  0.1631  0.2500 (multiplicity 4)
P  0.0000  0.1316  0.7500 (multiplicity 4)
P  0.0000  0.3868  0.5467 (multiplicity 8)
Ru  0.0000  0.0000  0.0000 (multiplicity 4)
Ru  0.0000  0.2064  0.5753 (multiplicity 8)
Ru  0.0000  0.4439  0.1475 (multiplicity 8)

---

Q: Which formula does entry 4 have?
A: YP3Ru5

---

What did the first record say?
Computed powder diffractogram
Compound: Ac2Ni4B
Radiation: copper Kα
Structure: DFT lattice parameters and positions (GGA-PBE)
Peak positions follow from Bragg's law for the DFT cell and can differ from measured ones.

Peak list (10 most intense, 10° ≤ 2θ ≤ 90°, low angle first)
h k l	d/Å	intensity
0 2 0	3.790	28
2 0 0	3.765	27
0 2 2	2.932	32
2 0 2	2.921	32
0 0 4	2.313	100
0 2 4	1.973	20
0 4 0	1.895	11
4 0 0	1.883	11
4 4 0	1.336	20
0 0 8	1.157	11

Structure:
a = 7.5309 Å, b = 7.5791 Å, c = 9.2552 Å
α = 90.00°, β = 90.00°, γ = 90.00°
Space group Fmmm (No. 69)
Inequivalent atoms, fractional coordinates:
Ac  0.2500  0.2500  0.2500 (multiplicity 8)
Ni  0.0000  0.2381  0.0000 (multiplicity 8)
Ni  0.2358  0.0000  0.0000 (multiplicity 8)
B  0.0000  0.0000  0.5000 (multiplicity 4)